Entry 1:
# NaSnS2
Theoretical powder diffractogram, Cu Kα (λ = 1.5418 Å). Input: DFT lattice parameters and positions (PBE).
Kinematic intensities with the Lorentz-polarization factor, no thermal factor.

Principal peaks in the range 10 to 90 degrees two-theta, sorted by position:
6.852 Å, 12.9°, intensity 67
3.338 Å, 26.7°, intensity 30
3.214 Å, 27.8°, intensity 19
2.826 Å, 31.7°, intensity 100
2.218 Å, 40.7°, intensity 15
2.046 Å, 44.3°, intensity 37
1.953 Å, 46.5°, intensity 33
1.879 Å, 48.5°, intensity 16
1.607 Å, 57.3°, intensity 18
1.288 Å, 73.5°, intensity 16

Crystal structure
```
data_NaSnS2
_cell_length_a 7.214
_cell_length_b 7.214
_cell_length_c 7.214
_cell_angle_alpha 31.42
_cell_angle_beta 31.42
_cell_angle_gamma 31.42
_symmetry_space_group_name_H-M 'P 1'
_symmetry_Int_Tables_number 1
loop_
_symmetry_equiv_pos_as_xyz
'x,y,z'
loop_
_atom_site_label
_atom_site_fract_x
_atom_site_fract_y
_atom_site_fract_z
Na1 0.000 0.000 0.000
Sn1 0.500 0.500 0.500
S1 0.243 0.243 0.243
S2 0.757 0.757 0.757
```

---

Entry 2:
# AlGaCu2S4
Theoretical powder diffractogram, Cu Kα (λ = 1.5418 Å). Input: DFT lattice parameters and positions (PBE).
Kinematic intensities with the Lorentz-polarization factor, no thermal factor.

Principal peaks in the range 10 to 90 degrees two-theta, sorted by position:
4.778 Å, 18.6°, intensity 6
3.077 Å, 29.0°, intensity 100
2.680 Å, 33.4°, intensity 5
1.895 Å, 48.0°, intensity 21
1.879 Å, 48.4°, intensity 41
1.614 Å, 57.1°, intensity 27
1.594 Å, 57.8°, intensity 13
1.340 Å, 70.2°, intensity 6
1.220 Å, 78.4°, intensity 10
1.091 Å, 89.9°, intensity 13

Crystal structure
```
data_AlGaCu2S4
_cell_length_a 6.492
_cell_length_b 6.492
_cell_length_c 6.492
_cell_angle_alpha 131.23
_cell_angle_beta 131.23
_cell_angle_gamma 71.45
_symmetry_space_group_name_H-M 'P 1'
_symmetry_Int_Tables_number 1
loop_
_symmetry_equiv_pos_as_xyz
'x,y,z'
loop_
_atom_site_label
_atom_site_fract_x
_atom_site_fract_y
_atom_site_fract_z
Al1 0.000 0.000 0.000
Ga1 0.250 0.750 0.500
Cu1 0.500 0.500 0.000
Cu2 0.750 0.250 0.500
S1 0.124 0.123 0.494
S2 0.371 0.876 0.000
S3 0.629 0.629 0.506
S4 0.877 0.371 0.000
```

---

Entry 3:
# Na8TiAs4
Theoretical powder diffractogram, Cu Kα (λ = 1.5418 Å). Input: DFT lattice parameters and positions (PBE).
Kinematic intensities with the Lorentz-polarization factor, no thermal factor.

Principal peaks in the range 10 to 90 degrees two-theta, sorted by position:
7.997 Å, 11.1°, intensity 57
3.998 Å, 22.2°, intensity 64
2.666 Å, 33.6°, intensity 49
2.448 Å, 36.7°, intensity 100
2.341 Å, 38.5°, intensity 14
2.088 Å, 43.3°, intensity 16
1.939 Å, 46.8°, intensity 13
1.803 Å, 50.6°, intensity 29
1.414 Å, 66.1°, intensity 14
1.339 Å, 70.3°, intensity 25

Crystal structure
```
data_Na8TiAs4
_cell_length_a 9.794
_cell_length_b 9.794
_cell_length_c 9.794
_cell_angle_alpha 60.00
_cell_angle_beta 60.00
_cell_angle_gamma 60.00
_symmetry_space_group_name_H-M 'P 1'
_symmetry_Int_Tables_number 1
loop_
_symmetry_equiv_pos_as_xyz
'x,y,z'
loop_
_atom_site_label
_atom_site_fract_x
_atom_site_fract_y
_atom_site_fract_z
Na1 0.000 0.000 0.000
Na2 0.000 0.000 0.500
Na3 0.000 0.500 0.000
Na4 0.154 0.154 0.596
Na5 0.154 0.596 0.154
Na6 0.154 0.596 0.596
Na7 0.404 0.404 0.846
Na8 0.404 0.846 0.404
Na9 0.404 0.846 0.846
Na10 0.500 0.000 0.000
Na11 0.596 0.154 0.154
Na12 0.596 0.154 0.596
Na13 0.596 0.596 0.154
Na14 0.846 0.404 0.404
Na15 0.846 0.404 0.846
Na16 0.846 0.846 0.404
Ti1 0.125 0.125 0.125
Ti2 0.875 0.875 0.875
As1 0.190 0.770 0.770
As2 0.230 0.230 0.230
As3 0.230 0.230 0.810
As4 0.230 0.810 0.230
As5 0.770 0.190 0.770
As6 0.770 0.770 0.190
As7 0.770 0.770 0.770
As8 0.810 0.230 0.230
```

---

Entry 4:
# Sr5Bi3O12
Theoretical powder diffractogram, Cu Kα (λ = 1.5418 Å). Input: DFT lattice parameters and positions (PBE).
Kinematic intensities with the Lorentz-polarization factor, no thermal factor.

Principal peaks in the range 10 to 90 degrees two-theta, sorted by position:
4.323 Å, 20.5°, intensity 41
3.103 Å, 28.8°, intensity 47
3.055 Å, 29.2°, intensity 100
3.035 Å, 29.4°, intensity 100
3.014 Å, 29.6°, intensity 46
2.162 Å, 41.8°, intensity 47
2.144 Å, 42.1°, intensity 25
1.773 Å, 51.5°, intensity 29
1.750 Å, 52.3°, intensity 23
1.745 Å, 52.4°, intensity 48

Crystal structure
```
data_Sr5Bi3O12
_cell_length_a 6.027
_cell_length_b 6.206
_cell_length_c 8.577
_cell_angle_alpha 89.47
_cell_angle_beta 89.85
_cell_angle_gamma 89.92
_symmetry_space_group_name_H-M 'P 1'
_symmetry_Int_Tables_number 1
loop_
_symmetry_equiv_pos_as_xyz
'x,y,z'
loop_
_atom_site_label
_atom_site_fract_x
_atom_site_fract_y
_atom_site_fract_z
Sr1 0.000 0.000 0.000
Sr2 0.019 0.551 0.758
Sr3 0.488 0.048 0.754
Sr4 0.512 0.952 0.246
Sr5 0.981 0.449 0.242
Bi1 0.000 0.000 0.500
Bi2 0.500 0.500 0.000
Bi3 0.500 0.500 0.500
O1 0.110 0.049 0.272
O2 0.210 0.281 0.568
O3 0.215 0.319 0.952
O4 0.287 0.789 0.559
O5 0.323 0.782 0.943
O6 0.389 0.547 0.251
O7 0.611 0.453 0.749
O8 0.677 0.218 0.057
O9 0.713 0.211 0.441
O10 0.785 0.681 0.048
O11 0.790 0.719 0.432
O12 0.890 0.951 0.728
```

---

Entry 5:
# Mg2Si
Theoretical powder diffractogram, Cu Kα (λ = 1.5418 Å). Input: DFT lattice parameters and positions (PBE).
Kinematic intensities with the Lorentz-polarization factor, no thermal factor.

Principal peaks in the range 10 to 90 degrees two-theta, sorted by position:
2.628 Å, 34.1°, intensity 63
2.578 Å, 34.8°, intensity 28
2.542 Å, 35.3°, intensity 40
2.500 Å, 35.9°, intensity 73
2.468 Å, 36.4°, intensity 38
2.417 Å, 37.2°, intensity 100
2.323 Å, 38.8°, intensity 68
2.313 Å, 38.9°, intensity 28
2.306 Å, 39.1°, intensity 42
2.202 Å, 41.0°, intensity 46

Crystal structure
```
data_Mg2Si
_cell_length_a 5.631
_cell_length_b 7.041
_cell_length_c 7.402
_cell_angle_alpha 72.50
_cell_angle_beta 68.95
_cell_angle_gamma 70.52
_symmetry_space_group_name_H-M 'P 1'
_symmetry_Int_Tables_number 1
loop_
_symmetry_equiv_pos_as_xyz
'x,y,z'
loop_
_atom_site_label
_atom_site_fract_x
_atom_site_fract_y
_atom_site_fract_z
Mg1 0.000 0.000 0.000
Mg2 0.003 0.344 0.206
Mg3 0.013 0.937 0.569
Mg4 0.495 0.183 0.805
Mg5 0.506 0.596 0.425
Mg6 0.512 0.117 0.419
Mg7 0.543 0.426 0.054
Mg8 0.981 0.427 0.625
Si1 0.206 0.591 0.829
Si2 0.355 0.971 0.193
Si3 0.544 0.781 0.721
Si4 0.733 0.745 0.988
```

---

Entry 6:
# Pr2Co2SiC
Theoretical powder diffractogram, Cu Kα (λ = 1.5418 Å). Input: DFT lattice parameters and positions (PBE).
Kinematic intensities with the Lorentz-polarization factor, no thermal factor.

Principal peaks in the range 10 to 90 degrees two-theta, sorted by position:
3.306 Å, 27.0°, intensity 100
2.703 Å, 33.1°, intensity 73
2.671 Å, 33.5°, intensity 67
2.512 Å, 35.7°, intensity 47
2.401 Å, 37.5°, intensity 72
2.319 Å, 38.8°, intensity 51
1.975 Å, 45.9°, intensity 30
1.667 Å, 55.1°, intensity 40
1.595 Å, 57.8°, intensity 29
1.447 Å, 64.4°, intensity 34

Crystal structure
```
data_Pr2Co2SiC
_cell_length_a 5.795
_cell_length_b 5.795
_cell_length_c 5.795
_cell_angle_alpha 140.14
_cell_angle_beta 117.23
_cell_angle_gamma 76.99
_symmetry_space_group_name_H-M 'P 1'
_symmetry_Int_Tables_number 1
loop_
_symmetry_equiv_pos_as_xyz
'x,y,z'
loop_
_atom_site_label
_atom_site_fract_x
_atom_site_fract_y
_atom_site_fract_z
Pr1 0.190 0.190 0.000
Pr2 0.810 0.810 0.000
Co1 0.294 0.500 0.794
Co2 0.706 0.500 0.206
Si1 0.500 0.000 0.500
C1 0.000 0.500 0.500
```